No. 1
Starting from a cell relaxed with PBE, the powder diffraction line list of La4Pr5Y was simulated for Cu Kα (λ = 1.5418 Å).

Structural model:
```
La4Pr5Y
1.0
10.8384 0.0000 0.0000
0.0000 10.8384 0.0000
0.0000 0.0000 6.0763
La Pr Y
8 10 2
Direct
0.0507 0.7500 0.1288
0.2500 0.5507 0.8712
0.2500 0.9493 0.8712
0.4493 0.7500 0.1288
0.5507 0.2500 0.8712
0.7500 0.0507 0.1288
0.7500 0.4493 0.1288
0.9493 0.2500 0.8712
0.0908 0.0908 0.3462
0.0908 0.4092 0.3462
0.2500 0.7500 0.5000
0.4092 0.0908 0.3462
0.4092 0.4092 0.3462
0.5908 0.5908 0.6538
0.5908 0.9092 0.6538
0.7500 0.2500 0.5000
0.9092 0.5908 0.6538
0.9092 0.9092 0.6538
0.2500 0.2500 0.8368
0.7500 0.7500 0.1632
```

Principal peaks in the range 10 to 80 degrees two-theta, by angle:
| Position (°2θ) | I (rel.) |
| --- | --- |
| 27.52 | 28.5 |
| 28.75 | 100.0 |
| 29.93 | 46.4 |
| 30.56 | 32.5 |
| 34.85 | 17.6 |
| 35.13 | 32.9 |
| 50.53 | 16.8 |
| 51.80 | 31.7 |
| 56.75 | 13.4 |
| 59.17 | 17.9 |

=====

No. 2
Starting from a cell relaxed with PBE, the powder diffraction line list of Y3Cd4In was simulated for Cu Kα (λ = 1.5418 Å).

Structural model:
```
Y3Cd4In
1.0
-1.7739 4.0655 7.6367
1.7739 -4.0655 7.6367
1.7739 4.0655 -7.6367
Y Cd In
3 4 1
Direct
0.0000 0.0000 0.0000
0.3206 0.8206 0.5000
0.6794 0.1794 0.5000
0.0479 0.3575 0.6903
0.3328 0.6425 0.6903
0.6672 0.3575 0.3097
0.9521 0.6425 0.3097
0.5000 0.5000 0.0000
```

Principal peaks in the range 10 to 80 degrees two-theta, by angle:
| Position (°2θ) | I (rel.) |
| --- | --- |
| 29.86 | 98.0 |
| 32.16 | 70.6 |
| 33.58 | 36.7 |
| 34.05 | 36.6 |
| 35.26 | 51.2 |
| 36.29 | 70.5 |
| 37.60 | 55.2 |
| 38.02 | 100.0 |
| 41.94 | 32.8 |
| 65.30 | 42.7 |

=====

No. 3
Starting from a cell relaxed with PBE, the powder diffraction line list of SnPb2Se4 was simulated for Cu Kα (λ = 1.5418 Å).

Structural model:
```
SnPb2Se4
1.0
0.0000 5.9891 4.3922
4.4802 0.0000 4.3922
4.4802 5.9891 0.0000
Sn Pb Se
1 2 4
Direct
0.0000 0.0000 0.0000
0.1517 0.1517 0.3483
0.6517 0.6517 0.8483
0.0955 0.6842 0.3158
0.3909 0.9077 0.6091
0.6842 0.0955 0.9045
0.9077 0.3909 0.0923
```

Principal peaks in the range 10 to 80 degrees two-theta, by angle:
| Position (°2θ) | I (rel.) |
| --- | --- |
| 14.79 | 25.7 |
| 15.95 | 35.0 |
| 20.22 | 27.6 |
| 28.46 | 100.0 |
| 29.84 | 43.1 |
| 32.22 | 33.1 |
| 36.31 | 19.8 |
| 40.27 | 33.2 |
| 41.70 | 56.9 |
| 50.91 | 19.6 |

=====

No. 4
Starting from a cell relaxed with PBE, the powder diffraction line list of Li4Hg4Au3 was simulated for Cu Kα (λ = 1.5418 Å).

Structural model:
```
Li4Hg4Au3
1.0
8.1170 0.0000 0.0000
0.0000 3.0551 0.0000
-4.0379 0.0000 8.4446
Li Hg Au
4 4 3
Direct
0.2189 0.0000 0.4347
0.2211 0.0000 0.9981
0.7789 0.0000 0.0019
0.7811 0.0000 0.5653
0.1549 0.5000 0.6814
0.4749 0.5000 0.3176
0.5251 0.5000 0.6824
0.8451 0.5000 0.3186
0.0850 0.5000 0.1676
0.5000 0.5000 0.0000
0.9150 0.5000 0.8324
```

Principal peaks in the range 10 to 80 degrees two-theta, by angle:
| Position (°2θ) | I (rel.) |
| --- | --- |
| 21.04 | 30.4 |
| 24.33 | 59.9 |
| 28.62 | 43.3 |
| 29.23 | 100.0 |
| 36.86 | 53.6 |
| 38.39 | 42.6 |
| 38.94 | 58.1 |
| 41.37 | 35.1 |
| 47.72 | 49.7 |
| 49.42 | 56.0 |

=====

No. 5
Starting from a cell relaxed with PBE, the powder diffraction line list of Ac2PaAlPt6 was simulated for Cu Kα (λ = 1.5418 Å).

Structural model:
```
Ac2PaAlPt6
1.0
6.4094 -2.8423 0.0000
6.4094 2.8423 0.0000
-6.0089 0.0000 6.4536
Ac Pa Al Pt
2 1 1 6
Direct
0.2333 0.2333 0.1802
0.7667 0.7667 0.8198
0.0000 0.0000 0.5000
0.5000 0.5000 0.0000
0.2472 0.7356 0.7484
0.2552 0.2552 0.6196
0.2644 0.7528 0.2516
0.7356 0.2472 0.7484
0.7448 0.7448 0.3804
0.7528 0.2644 0.2516
```

Principal peaks in the range 10 to 80 degrees two-theta, by angle:
| Position (°2θ) | I (rel.) |
| --- | --- |
| 27.24 | 100.0 |
| 27.64 | 34.2 |
| 27.89 | 37.9 |
| 36.98 | 94.6 |
| 37.65 | 88.7 |
| 38.38 | 78.1 |
| 38.83 | 26.8 |
| 39.64 | 35.5 |
| 45.30 | 30.0 |
| 55.00 | 30.3 |

=====

No. 6
Starting from a cell relaxed with PBE, the powder diffraction line list of Ce3GaH3 was simulated for Cu Kα (λ = 1.5418 Å).

Structural model:
```
Ce3GaH3
1.0
3.2975 1.9038 7.1295
-3.2975 1.9038 7.1295
0.0000 -3.8076 7.1295
Ce Ga H
6 2 6
Direct
0.0955 0.4121 0.7753
0.2247 0.9045 0.5879
0.4121 0.7753 0.0955
0.5879 0.2247 0.9045
0.7753 0.0955 0.4121
0.9045 0.5879 0.2247
0.3331 0.3331 0.3331
0.6669 0.6669 0.6669
0.1288 0.7807 0.4803
0.2193 0.5197 0.8712
0.4803 0.1288 0.7807
0.5197 0.8712 0.2193
0.7807 0.4803 0.1288
0.8712 0.2193 0.5197
```

Principal peaks in the range 10 to 80 degrees two-theta, by angle:
| Position (°2θ) | I (rel.) |
| --- | --- |
| 24.98 | 18.4 |
| 27.04 | 8.8 |
| 29.85 | 100.0 |
| 37.14 | 36.8 |
| 47.14 | 18.8 |
| 47.77 | 23.4 |
| 54.65 | 12.8 |
| 57.36 | 15.3 |
| 62.51 | 9.3 |
| 77.79 | 11.8 |